Record 1
Simulated powder XRD pattern
Compound: Pr3Zn2Pd7
Radiation: a wavelength of 1.5418 Å
Structure: a crystal structure in Alexandria, relaxed with PBE
No peak broadening, texture or thermal motion is included.

Cell and atoms:
Lattice parameters (Å, degrees): 4.278 29.422 4.080 90.00 90.00 90.00
Space group Cmmm (No. 65)
One atom of each set of equivalent atoms:
Pr 0.000 0.000 0.000 x2
Pr 0.000 0.201 0.000 x4
Zn 0.000 0.417 0.500 x4
Pd 0.000 0.130 0.500 x4
Pd 0.000 0.290 0.500 x4
Pd 0.000 0.366 0.000 x4
Pd 0.000 0.500 0.500 x2

Most intense lines, 2θ from 10° to 90°, sorted by position:
| d_spacing | 2θ/deg | Rel. int. | h k l |
| --- | --- | --- | --- |
| 4.904 | 18.09 | 13.8 | 0 6 0 |
| 2.941 | 30.40 | 25.5 | 0 10 0 |
| 2.639 | 33.97 | 100.0 | 1 5 1 |
| 2.416 | 37.22 | 53.8 | 1 7 1 |
| 2.139 | 42.25 | 33.2 | 2 0 0 |
| 2.102 | 43.04 | 14.1 | 0 14 0 |
| 2.040 | 44.41 | 28.7 | 0 0 2 |
| 1.982 | 45.77 | 35.9 | 1 11 1 |
| 1.476 | 62.97 | 19.9 | 2 0 2 |
| 1.371 | 68.42 | 14.5 | 1 19 1 |

Record 2
Simulated powder XRD pattern
Compound: PrZn7Pd5
Radiation: a wavelength of 1.5418 Å
Structure: a crystal structure in Alexandria, relaxed with PBE
No peak broadening, texture or thermal motion is included.

Cell and atoms:
Lattice parameters (Å, degrees): 5.498 9.005 8.751 90.00 90.00 90.00
Space group Imm2 (No. 44)
One atom of each set of equivalent atoms:
Pr 0.000 0.000 0.000 x2
Zn 0.000 0.000 0.358 x2
Zn 0.000 0.000 0.656 x2
Zn 0.000 0.286 0.508 x4
Zn 0.000 0.351 0.022 x4
Zn 0.000 0.500 0.738 x2
Pd 0.000 0.500 0.291 x2
Pd 0.248 0.261 0.760 x8

Most intense lines, 2θ from 10° to 90°, sorted by position:
| d_spacing | 2θ/deg | Rel. int. | h k l |
| --- | --- | --- | --- |
| 2.635 | 34.03 | 24.8 | 1 3 0 |
| 2.577 | 34.82 | 27.6 | 1 0 3 |
| 2.346 | 38.37 | 84.3 | 2 2 0 |
| 2.328 | 38.68 | 66.2 | 2 0 2 |
| 2.257 | 39.94 | 69.4 | 1 3 2 |
| 2.251 | 40.05 | 52.2 | 0 4 0 |
| 2.236 | 40.33 | 58.7 | 1 2 3 |
| 2.188 | 41.27 | 50.0 | 0 0 4 |
| 2.068 | 43.78 | 100.0 | 2 2 2 |
| 2.002 | 45.30 | 26.9 | 0 4 2 |

Record 3
Simulated powder XRD pattern
Compound: Pd3Pt4
Radiation: a wavelength of 1.5418 Å
Structure: a crystal structure in Alexandria, relaxed with PBE
No peak broadening, texture or thermal motion is included.

Cell and atoms:
Lattice parameters (Å, degrees): 2.783 3.983 19.578 90.00 90.00 90.00
Space group Immm (No. 71)
One atom of each set of equivalent atoms:
Pd 0.000 0.000 0.000 x2
Pd 0.000 0.000 0.286 x4
Pt 0.000 0.000 0.143 x4
Pt 0.000 0.000 0.428 x4

Most intense lines, 2θ from 10° to 90°, sorted by position:
| d_spacing | 2θ/deg | Rel. int. | h k l |
| --- | --- | --- | --- |
| 2.289 | 39.36 | 100.0 | 0 1 7 |
| 2.282 | 39.50 | 99.1 | 1 1 0 |
| 1.991 | 45.55 | 33.1 | 0 2 0 |
| 1.973 | 46.00 | 64.4 | 1 0 7 |
| 1.402 | 66.74 | 42.5 | 1 2 7 |
| 1.199 | 80.04 | 25.7 | 1 3 0 |
| 1.192 | 80.57 | 25.3 | 1 1 14 |
| 1.189 | 80.83 | 25.2 | 2 1 7 |
| 1.144 | 84.69 | 11.3 | 0 2 14 |
| 1.141 | 85.03 | 11.2 | 2 2 0 |

Record 4
Simulated powder XRD pattern
Compound: PdPt6
Radiation: a wavelength of 1.5418 Å
Structure: a crystal structure in Alexandria, relaxed with PBE
No peak broadening, texture or thermal motion is included.

Cell and atoms:
Lattice parameters (Å, degrees): 5.185 5.185 8.840 90.00 90.00 90.00
Space group P4/nbm (No. 125, origin choice 2)
One atom of each set of equivalent atoms:
Pd 0.250 0.750 0.000 x2
Pt 0.070 0.570 0.359 x8
Pt 0.250 0.250 0.143 x4

Most intense lines, 2θ from 10° to 90°, sorted by position:
| d_spacing | 2θ/deg | Rel. int. | h k l |
| --- | --- | --- | --- |
| 3.387 | 26.32 | 24.4 | 1 1 1 |
| 2.488 | 36.11 | 100.0 | 2 0 1 |
| 2.297 | 39.22 | 60.6 | 1 1 3 |
| 2.243 | 40.21 | 58.5 | 2 1 1 |
| 2.210 | 40.83 | 36.8 | 0 0 4 |
| 2.053 | 44.10 | 72.5 | 2 1 2 |
| 1.946 | 46.67 | 51.0 | 2 0 3 |
| 1.833 | 49.74 | 30.5 | 2 2 0 |
| 1.317 | 71.67 | 35.1 | 3 1 4 |
| 1.210 | 79.17 | 30.6 | 4 1 2 |

Record 5
Simulated powder XRD pattern
Compound: Pd3Pt5
Radiation: a wavelength of 1.5418 Å
Structure: a crystal structure in Alexandria, relaxed with PBE
No peak broadening, texture or thermal motion is included.

Cell and atoms:
Lattice parameters (Å, degrees): 5.5932 5.5932 13.7606 90.00 90.00 120.00
Space group R-3m (No. 166, hexagonal axes)
One atom of each set of equivalent atoms:
Pd 0.0000 0.5000 0.0000 x9
Pt 0.0000 0.0000 0.0000 x3
Pt 0.0000 0.0000 0.5000 x3
Pt 0.0000 0.5000 0.5000 x9

Most intense lines, 2θ from 10° to 90°, sorted by position:
| d_spacing | 2θ/deg | Rel. int. | h k l |
| --- | --- | --- | --- |
| 4.582 | 19.37 | 9.4 | 0 0 3 |
| 2.293 | 39.28 | 33.7 | 0 0 6 |
| 2.285 | 39.44 | 100.0 | 2 0 2 |
| 1.980 | 45.82 | 65.5 | 0 2 4 |
| 1.402 | 66.70 | 21.5 | 2 0 8 |
| 1.398 | 66.92 | 21.3 | 2 2 0 |
| 1.196 | 80.23 | 12.9 | 0 2 10 |
| 1.194 | 80.44 | 25.6 | 2 2 6 |
| 1.193 | 80.54 | 12.8 | 0 4 2 |
| 1.142 | 84.89 | 11.3 | 4 0 4 |

Record 6
Simulated powder XRD pattern
Compound: Pd4Pt5
Radiation: a wavelength of 1.5418 Å
Structure: a crystal structure in Alexandria, relaxed with PBE
No peak broadening, texture or thermal motion is included.

Cell and atoms:
Lattice parameters (Å, degrees): 2.781 8.399 11.929 90.00 90.00 90.00
Space group Immm (No. 71)
One atom of each set of equivalent atoms:
Pd 0.000 0.000 0.166 x4
Pd 0.000 0.334 0.500 x4
Pt 0.000 0.000 0.500 x2
Pt 0.000 0.332 0.167 x8

Most intense lines, 2θ from 10° to 90°, sorted by position:
| d_spacing | 2θ/deg | Rel. int. | h k l |
| --- | --- | --- | --- |
| 6.867 | 12.89 | 17.7 | 0 1 1 |
| 2.289 | 39.36 | 98.3 | 0 3 3 |
| 2.279 | 39.54 | 100.0 | 1 0 3 |
| 1.988 | 45.63 | 32.4 | 0 0 6 |
| 1.973 | 46.00 | 63.2 | 1 3 0 |
| 1.400 | 66.81 | 52.0 | 1 3 6 |
| 1.198 | 80.11 | 12.6 | 0 3 9 |
| 1.196 | 80.23 | 12.7 | 1 0 9 |
| 1.193 | 80.53 | 24.8 | 1 6 3 |
| 1.189 | 80.88 | 25.1 | 2 3 3 |

Record 7
Simulated powder XRD pattern
Compound: Pd13Pt3
Radiation: a wavelength of 1.5418 Å
Structure: a crystal structure in Alexandria, relaxed with PBE
No peak broadening, texture or thermal motion is included.

Cell and atoms:
Lattice parameters (Å, degrees): 7.879 7.925 7.915 90.00 90.00 90.00
Space group Amm2 (No. 38)
One atom of each set of equivalent atoms:
Pd 0.000 0.000 0.000 x2
Pd 0.000 0.000 0.498 x2
Pd 0.000 0.249 0.249 x4
Pd 0.250 0.000 0.750 x4
Pd 0.250 0.250 0.499 x8
Pd 0.500 0.000 0.498 x2
Pd 0.500 0.250 0.250 x4
Pt 0.250 0.000 0.248 x4
Pt 0.500 0.000 0.001 x2

Most intense lines, 2θ from 10° to 90°, sorted by position:
| d_spacing | 2θ/deg | Rel. int. | h k l |
| --- | --- | --- | --- |
| 5.600 | 15.82 | 4.1 | 0 1 1 |
| 3.222 | 27.69 | 2.0 | 2 1 1 |
| 2.282 | 39.48 | 100.0 | 2 2 2 |
| 1.980 | 45.83 | 32.6 | 0 4 0 |
| 1.970 | 46.08 | 16.0 | 4 0 0 |
| 1.400 | 66.82 | 10.4 | 0 4 4 |
| 1.396 | 67.02 | 20.7 | 4 4 0 |
| 1.193 | 80.48 | 24.7 | 2 6 2 |
| 1.189 | 80.84 | 12.2 | 6 2 2 |
| 1.141 | 84.99 | 10.9 | 4 4 4 |

Record 8
Simulated powder XRD pattern
Compound: Pd4Pt3
Radiation: a wavelength of 1.5418 Å
Structure: a crystal structure in Alexandria, relaxed with PBE
No peak broadening, texture or thermal motion is included.

Cell and atoms:
Lattice parameters (Å, degrees): 13.363 2.727 6.807 90.00 116.83 90.00
Space group C2/m (No. 12)
One atom of each set of equivalent atoms:
Pd 0.076 0.000 0.204 x4
Pd 0.138 0.500 0.904 x4
Pt 0.000 0.000 0.500 x2
Pt 0.221 0.000 0.648 x4

Most intense lines, 2θ from 10° to 90°, sorted by position:
| d_spacing | 2θ/deg | Rel. int. | h k l |
| --- | --- | --- | --- |
| 6.075 | 14.58 | 34.0 | 0 0 1 |
| 2.658 | 33.72 | 29.6 | 1 1 0 |
| 2.531 | 35.47 | 43.7 | 1 1 -1 |
| 2.309 | 39.00 | 78.5 | 3 1 -1 |
| 2.297 | 39.21 | 98.9 | 4 0 1 |
| 2.251 | 40.05 | 100.0 | 2 0 -3 |
| 2.172 | 41.59 | 83.5 | 6 0 -2 |
| 2.108 | 42.90 | 44.4 | 1 1 -2 |
| 1.953 | 46.51 | 24.6 | 3 1 1 |
| 1.907 | 47.69 | 73.3 | 1 1 2 |

Record 9
Simulated powder XRD pattern
Compound: Pu12PdPt6
Radiation: a wavelength of 1.5418 Å
Structure: a crystal structure in Alexandria, relaxed with PBE
No peak broadening, texture or thermal motion is included.

Cell and atoms:
Lattice parameters (Å, degrees): 10.6706 10.6706 12.9568 90.00 90.00 120.00
Space group R-3 (No. 148, hexagonal axes)
One atom of each set of equivalent atoms:
Pu 0.0506 0.1903 0.3155 x18
Pu 0.0550 0.8328 0.9121 x18
Pd 0.0000 0.0000 0.5000 x3
Pt 0.0336 0.4390 0.2112 x18

Most intense lines, 2θ from 10° to 90°, sorted by position:
| d_spacing | 2θ/deg | Rel. int. | h k l |
| --- | --- | --- | --- |
| 3.077 | 29.02 | 14.9 | 1 2 2 |
| 2.512 | 35.74 | 100.0 | 4 -3 1 |
| 2.495 | 35.99 | 28.8 | 0 1 5 |
| 2.383 | 37.75 | 38.5 | 4 -1 2 |
| 2.375 | 37.88 | 46.0 | 3 -1 4 |
| 2.271 | 39.69 | 13.2 | 2 2 3 |
| 2.260 | 39.89 | 10.5 | 2 0 5 |
| 1.686 | 54.41 | 11.2 | 6 -2 2 |
| 1.474 | 63.08 | 12.4 | 5 -4 6 |
| 1.400 | 66.82 | 18.2 | 2 5 3 |

Record 10
Simulated powder XRD pattern
Compound: Pu4Pd3Pt
Radiation: a wavelength of 1.5418 Å
Structure: a crystal structure in Alexandria, relaxed with PBE
No peak broadening, texture or thermal motion is included.

Cell and atoms:
Lattice parameters (Å, degrees): 7.033 7.033 7.033 90.00 90.00 90.00
Space group Im-3m (No. 229)
One atom of each set of equivalent atoms:
Pu 0.250 0.250 0.250 x8
Pd 0.000 0.000 0.500 x6
Pt 0.000 0.000 0.000 x2

Most intense lines, 2θ from 10° to 90°, sorted by position:
| d_spacing | 2θ/deg | Rel. int. | h k l |
| --- | --- | --- | --- |
| 4.973 | 17.84 | 1.7 | 1 1 0 |
| 3.516 | 25.33 | 9.9 | 2 0 0 |
| 2.486 | 36.12 | 100.0 | 2 2 0 |
| 2.030 | 44.63 | 3.2 | 2 2 2 |
| 1.758 | 52.01 | 17.9 | 4 0 0 |
| 1.573 | 58.71 | 4.5 | 4 2 0 |
| 1.436 | 64.96 | 37.1 | 4 2 2 |
| 1.243 | 76.65 | 11.6 | 4 4 0 |
| 1.172 | 82.25 | 2.3 | 6 0 0 |
| 1.112 | 87.78 | 17.1 | 6 2 0 |

Record 11
Simulated powder XRD pattern
Compound: Pu4Pd2Pt
Radiation: a wavelength of 1.5418 Å
Structure: a crystal structure in Alexandria, relaxed with PBE
No peak broadening, texture or thermal motion is included.

Cell and atoms:
Lattice parameters (Å, degrees): 8.701 12.327 7.505 90.00 124.84 90.00
Space group Cc (No. 9)
One atom of each set of equivalent atoms:
Pu 0.000 0.001 0.000 x4
Pu 0.166 0.321 0.636 x4
Pu 0.379 0.255 0.275 x4
Pu 0.413 0.071 0.624 x4
Pd 0.048 0.190 0.260 x4
Pd 0.178 0.442 0.004 x4
Pt 0.245 0.128 0.888 x4

Most intense lines, 2θ from 10° to 90°, sorted by position:
| d_spacing | 2θ/deg | Rel. int. | h k l |
| --- | --- | --- | --- |
| 2.758 | 32.47 | 100.0 | 3 1 -1 |
| 2.748 | 32.59 | 54.0 | 1 3 -2 |
| 2.335 | 38.55 | 35.9 | 2 2 1 |
| 2.330 | 38.65 | 26.4 | 1 5 0 |
| 2.322 | 38.79 | 36.4 | 2 4 -2 |
| 1.777 | 51.43 | 10.6 | 4 4 -2 |
| 1.714 | 53.46 | 9.6 | 3 3 1 |
| 1.710 | 53.59 | 17.1 | 1 1 3 |
| 1.704 | 53.78 | 12.0 | 1 1 -4 |
| 1.415 | 66.02 | 10.3 | 1 7 2 |

Record 12
Simulated powder XRD pattern
Compound: Pu2Pd3Pt2
Radiation: a wavelength of 1.5418 Å
Structure: a crystal structure in Alexandria, relaxed with PBE
No peak broadening, texture or thermal motion is included.

Cell and atoms:
Lattice parameters (Å, degrees): 8.124 8.124 8.124 90.00 90.00 90.00
Space group I2_13 (No. 199)
One atom of each set of equivalent atoms:
Pu 0.174 0.326 0.674 x8
Pd 0.000 0.250 0.268 x12
Pt 0.016 0.016 0.016 x8

Most intense lines, 2θ from 10° to 90°, sorted by position:
| d_spacing | 2θ/deg | Rel. int. | h k l |
| --- | --- | --- | --- |
| 3.317 | 26.88 | 22.0 | 2 1 1 |
| 2.872 | 31.14 | 65.7 | 2 2 0 |
| 2.569 | 34.92 | 100.0 | 3 0 1 |
| 2.345 | 38.38 | 59.9 | 2 2 2 |
| 2.171 | 41.59 | 85.7 | 3 1 2 |
| 1.817 | 50.22 | 22.9 | 4 0 2 |
| 1.593 | 57.88 | 42.5 | 4 3 1 |
| 1.436 | 64.93 | 21.8 | 4 4 0 |
| 1.318 | 71.60 | 22.4 | 5 2 3 |
| 1.225 | 78.02 | 31.8 | 6 2 2 |

Record 13
Simulated powder XRD pattern
Compound: Pu3PdPt3
Radiation: a wavelength of 1.5418 Å
Structure: a crystal structure in Alexandria, relaxed with PBE
No peak broadening, texture or thermal motion is included.

Cell and atoms:
Lattice parameters (Å, degrees): 3.974 10.465 14.594 90.00 90.00 90.00
Space group Cmcm (No. 63)
One atom of each set of equivalent atoms:
Pu 0.000 0.068 0.250 x4
Pu 0.000 0.336 0.098 x8
Pd 0.000 0.000 0.000 x4
Pt 0.000 0.202 0.750 x4
Pt 0.000 0.379 0.604 x8

Most intense lines, 2θ from 10° to 90°, sorted by position:
| d_spacing | 2θ/deg | Rel. int. | h k l |
| --- | --- | --- | --- |
| 3.311 | 26.93 | 28.0 | 1 1 2 |
| 2.621 | 34.22 | 52.7 | 1 3 0 |
| 2.603 | 34.45 | 100.0 | 1 1 4 |
| 2.576 | 34.83 | 37.2 | 0 4 1 |
| 2.467 | 36.42 | 23.5 | 1 3 2 |
| 2.432 | 36.96 | 31.0 | 0 0 6 |
| 2.308 | 39.03 | 38.0 | 1 3 3 |
| 2.128 | 42.48 | 47.2 | 0 4 4 |
| 1.987 | 45.66 | 34.1 | 2 0 0 |
| 1.344 | 69.98 | 17.5 | 2 0 8 |